[1]
Sr4Fe4O11: computed PXRD pattern (a wavelength of 1.5418 Å), based on the PBE+U geometry in the Materials Project.

Top 10 peaks for 5° ≤ 2θ ≤ 70°, low angle first:
d 2.797, I = 21.0, (2 0 0); d 2.785, I = 100.0, (0 4 0); d 2.279, I = 7.0, (2 0 2); d 2.272, I = 6.9, (0 4 2); d 1.973, I = 28.9, (2 4 0); d 1.965, I = 14.4, (0 0 4); d 1.612, I = 14.7, (3 2 2); d 1.607, I = 29.8, (0 4 4); d 1.398, I = 4.0, (4 0 0); d 1.392, I = 20.1, (2 4 4)

Structure:
abc: 5.594 11.136 7.860
angles: 90.00 90.00 90.00
Space group Pnnm (No. 58)
Inequivalent atoms, fractional coordinates:
Sr 0.242 0.128 0.242 [8 per cell]
Fe 0.230 0.867 0.500 [4 per cell]
Fe 0.248 0.378 0.500 [4 per cell]
O 0.000 0.000 0.000 [2 per cell]
O 0.000 0.000 0.500 [2 per cell]
O 0.000 0.500 0.500 [2 per cell]
O 0.001 0.255 0.500 [4 per cell]
O 0.012 0.743 0.000 [4 per cell]
O 0.230 0.387 0.238 [8 per cell]

[2]
Sr2Fe3O6: computed PXRD pattern (a wavelength of 1.5418 Å), based on the PBE+U geometry in the Materials Project.

Top 10 peaks for 5° ≤ 2θ ≤ 70°, low angle first:
d 9.716, I = 14.9, (0 0 2); d 3.201, I = 14.1, (1 0 5); d 2.821, I = 81.8, (2 0 0); d 2.784, I = 100.0, (1 1 5); d 2.279, I = 15.4, (1 1 7); d 2.127, I = 15.8, (2 0 6); d 1.995, I = 33.1, (2 2 0); d 1.943, I = 17.5, (0 0 10); d 1.621, I = 24.8, (3 1 5); d 1.600, I = 17.6, (2 0 10)

Structure:
abc: 5.642 5.642 19.433
angles: 90.00 90.00 90.00
Space group P4_2/mnm (No. 136)
Inequivalent atoms, fractional coordinates:
Sr 0.238 0.238 0.088 [8 per cell]
Fe 0.176 0.176 0.295 [8 per cell]
Fe 0.246 0.246 0.500 [4 per cell]
O 0.000 0.000 0.000 [2 per cell]
O 0.000 0.000 0.500 [2 per cell]
O 0.000 0.500 0.000 [4 per cell]
O 0.181 0.819 0.286 [8 per cell]
O 0.244 0.756 0.113 [8 per cell]